Diffraction record for Tl3BiH3. The PXRD pattern is simulated, not measured: it uses a DFT-relaxed cell (PBE, Alexandria) and Cu Kα (weighted mean of Kα1 and Kα2).

Largest 10 diffraction maxima, low angle first, 10° ≤ 2θ ≤ 80°:
d [Å]  I_rel
3.226  34.2
3.016  100.0
2.654  67.1
1.924  21.9
1.833  24.8
1.652  11.6
1.593  27.2
1.566  14.7
1.508  13.3
1.211  6.9

Structural model:
Unit cell a=7.716 b=7.716 c=7.716 alpha=56.73 beta=56.73 gamma=56.73
Atoms (fractional coordinates):
Tl1 0.240 0.240 0.734
Tl2 0.240 0.734 0.240
Tl3 0.266 0.760 0.760
Tl4 0.734 0.240 0.240
Tl5 0.760 0.266 0.760
Tl6 0.760 0.760 0.266
Bi1 0.250 0.250 0.250
Bi2 0.750 0.750 0.750
H1 0.061 0.690 0.690
H2 0.310 0.310 0.939
H3 0.310 0.939 0.310
H4 0.690 0.061 0.690
H5 0.690 0.690 0.061
H6 0.939 0.310 0.310